Record 1
The following is a computed X-ray powder pattern of BaLi2Cd. It was derived from a crystal structure in Alexandria, relaxed with PBE, using Cu Kα (weighted mean of Kα1 and Kα2).
No peak broadening, texture or thermal motion is included.

Principal peaks in the range 5 to 70 degrees two-theta, in order of rising 2θ:
2theta	d_spacing	I (rel.)
11.2	7.870	82.6
25.5	3.494	100.0
32.3	2.770	83.3
32.5	2.757	47.0
34.2	2.623	16.8
34.5	2.602	23.5
46.6	1.950	16.8
47.9	1.901	25.5
53.8	1.703	24.7
57.8	1.594	30.5

Structure:
a b c (Å): 3.899 3.899 7.870
angles (deg): 90.00 90.00 90.00
Atoms (fractional coordinates):
1 Ba 0.000 0.000 0.000
2 Li 0.000 0.000 0.469
3 Li 0.500 0.500 0.655
4 Cd 0.500 0.500 0.298


Record 2
The following is a computed X-ray powder pattern of Ba2Li9Cd6. It was derived from a crystal structure in Alexandria, relaxed with PBE, using Cu Kα (weighted mean of Kα1 and Kα2).
No peak broadening, texture or thermal motion is included.

Principal peaks in the range 5 to 70 degrees two-theta, in order of rising 2θ:
2theta	d_spacing	I (rel.)
18.7	4.755	71.1
29.5	3.026	75.7
35.2	2.553	100.0
37.8	2.378	14.0
48.7	1.869	35.0
52.4	1.747	14.7
56.1	1.640	25.0
64.7	1.442	14.1
66.4	1.408	13.4
66.6	1.404	13.4

Structure:
a b c (Å): 6.051 6.051 14.266
angles (deg): 90.00 90.00 120.00
Atoms (fractional coordinates):
1 Ba 0.000 0.000 0.177
2 Ba 0.000 0.000 0.823
3 Li 0.000 0.500 0.000
4 Li 0.000 0.500 0.338
5 Li 0.000 0.500 0.662
6 Li 0.500 0.000 0.000
7 Li 0.500 0.000 0.338
8 Li 0.500 0.000 0.662
9 Li 0.500 0.500 0.000
10 Li 0.500 0.500 0.338
11 Li 0.500 0.500 0.662
12 Cd 0.333 0.667 0.169
13 Cd 0.333 0.667 0.500
14 Cd 0.333 0.667 0.831
15 Cd 0.667 0.333 0.169
16 Cd 0.667 0.333 0.500
17 Cd 0.667 0.333 0.831


Record 3
The following is a computed X-ray powder pattern of BaLi10Cd. It was derived from a crystal structure in Alexandria, relaxed with PBE, using Cu Kα (weighted mean of Kα1 and Kα2).
No peak broadening, texture or thermal motion is included.

Principal peaks in the range 5 to 70 degrees two-theta, in order of rising 2θ:
2theta	d_spacing	I (rel.)
17.5	5.058	100.0
18.3	4.848	32.9
25.4	3.500	98.2
30.6	2.920	32.4
35.5	2.529	23.7
35.9	2.502	49.6
40.2	2.242	21.2
41.3	2.186	22.8
47.6	1.912	15.6
51.4	1.779	28.2

Structure:
a b c (Å): 4.848 5.834 10.128
angles (deg): 90.00 90.00 90.00
Atoms (fractional coordinates):
1 Ba 0.000 0.000 0.000
2 Li 0.000 0.000 0.360
3 Li 0.000 0.000 0.640
4 Li 0.000 0.500 0.210
5 Li 0.000 0.500 0.790
6 Li 0.500 0.000 0.500
7 Li 0.500 0.267 0.284
8 Li 0.500 0.267 0.716
9 Li 0.500 0.500 0.000
10 Li 0.500 0.733 0.284
11 Li 0.500 0.733 0.716
12 Cd 0.000 0.500 0.500


Record 4
The following is a computed X-ray powder pattern of Ba3Li2Cd3. It was derived from a crystal structure in Alexandria, relaxed with PBE, using Cu Kα (weighted mean of Kα1 and Kα2).
No peak broadening, texture or thermal motion is included.

Principal peaks in the range 5 to 70 degrees two-theta, in order of rising 2θ:
2theta	d_spacing	I (rel.)
24.1	3.690	35.2
25.9	3.440	70.5
27.6	3.231	100.0
28.3	3.157	87.8
30.3	2.951	29.5
30.7	2.910	42.8
31.4	2.852	68.4
32.2	2.784	53.3
34.9	2.570	35.1
40.5	2.229	29.8

Structure:
a b c (Å): 9.456 17.705 6.699
angles (deg): 90.00 90.00 90.00
Atoms (fractional coordinates):
1 Ba 0.044 0.105 0.129
2 Ba 0.044 0.395 0.129
3 Ba 0.189 0.250 0.606
4 Ba 0.311 0.750 0.106
5 Ba 0.456 0.605 0.629
6 Ba 0.456 0.895 0.629
7 Ba 0.544 0.105 0.371
8 Ba 0.544 0.395 0.371
9 Ba 0.689 0.250 0.894
10 Ba 0.811 0.750 0.394
11 Ba 0.956 0.605 0.871
12 Ba 0.956 0.895 0.871
13 Li 0.111 0.595 0.383
14 Li 0.111 0.905 0.383
15 Li 0.389 0.095 0.883
16 Li 0.389 0.405 0.883
17 Li 0.611 0.595 0.117
18 Li 0.611 0.905 0.117
19 Li 0.889 0.095 0.617
20 Li 0.889 0.405 0.617
21 Cd 0.166 0.750 0.597
22 Cd 0.180 0.041 0.610
23 Cd 0.180 0.459 0.610
24 Cd 0.320 0.541 0.110
25 Cd 0.320 0.959 0.110
26 Cd 0.334 0.250 0.097
27 Cd 0.666 0.750 0.903
28 Cd 0.680 0.041 0.890
29 Cd 0.680 0.459 0.890
30 Cd 0.820 0.541 0.390
31 Cd 0.820 0.959 0.390
32 Cd 0.834 0.250 0.403


Record 5
The following is a computed X-ray powder pattern of BaLi7Cd12. It was derived from a crystal structure in Alexandria, relaxed with PBE, using Cu Kα (weighted mean of Kα1 and Kα2).
No peak broadening, texture or thermal motion is included.

Principal peaks in the range 5 to 70 degrees two-theta, in order of rising 2θ:
2theta	d_spacing	I (rel.)
18.5	4.793	15.5
28.4	3.144	100.0
31.0	2.882	21.1
35.3	2.541	54.3
36.1	2.490	31.1
37.4	2.405	23.1
37.5	2.396	19.9
52.7	1.736	27.4
52.9	1.730	14.3
57.2	1.611	18.6

Structure:
a b c (Å): 8.696 8.696 8.696
angles (deg): 112.15 112.15 112.15
Atoms (fractional coordinates):
1 Ba 0.000 0.000 0.000
2 Li 0.188 0.188 0.540
3 Li 0.188 0.540 0.188
4 Li 0.460 0.812 0.812
5 Li 0.500 0.500 0.500
6 Li 0.540 0.188 0.188
7 Li 0.812 0.460 0.812
8 Li 0.812 0.812 0.460
9 Cd 0.000 0.265 0.735
10 Cd 0.000 0.735 0.265
11 Cd 0.098 0.424 0.424
12 Cd 0.265 0.000 0.735
13 Cd 0.265 0.735 0.000
14 Cd 0.424 0.098 0.424
15 Cd 0.424 0.424 0.098
16 Cd 0.576 0.576 0.902
17 Cd 0.576 0.902 0.576
18 Cd 0.735 0.000 0.265
19 Cd 0.735 0.265 0.000
20 Cd 0.902 0.576 0.576


Record 6
The following is a computed X-ray powder pattern of Ba2Li2MgCd5. It was derived from a crystal structure in Alexandria, relaxed with PBE, using Cu Kα (weighted mean of Kα1 and Kα2).
No peak broadening, texture or thermal motion is included.

Principal peaks in the range 5 to 70 degrees two-theta, in order of rising 2θ:
2theta	d_spacing	I (rel.)
26.6	3.351	45.4
27.7	3.217	66.2
30.9	2.896	43.8
32.0	2.794	95.9
32.8	2.729	100.0
33.0	2.715	53.6
35.6	2.525	36.1
44.0	2.060	28.5
55.4	1.658	38.9
56.0	1.641	22.7

Structure:
a b c (Å): 11.518 11.518 4.120
angles (deg): 90.00 90.00 90.00
Atoms (fractional coordinates):
1 Ba 0.185 0.315 0.000
2 Ba 0.315 0.815 0.000
3 Ba 0.685 0.185 0.000
4 Ba 0.815 0.685 0.000
5 Li 0.115 0.615 0.000
6 Li 0.385 0.115 0.000
7 Li 0.615 0.885 0.000
8 Li 0.885 0.385 0.000
9 Mg 0.000 0.000 0.000
10 Mg 0.500 0.500 0.000
11 Cd 0.000 0.500 0.500
12 Cd 0.048 0.804 0.500
13 Cd 0.196 0.048 0.500
14 Cd 0.304 0.548 0.500
15 Cd 0.452 0.304 0.500
16 Cd 0.500 0.000 0.500
17 Cd 0.548 0.696 0.500
18 Cd 0.696 0.452 0.500
19 Cd 0.804 0.952 0.500
20 Cd 0.952 0.196 0.500